Entry 1:
Theoretical powder diffractogram of Tb8Pm2Th3 for CuKα, from the PBE geometry in Alexandria.
Peak positions follow from Bragg's law for the DFT cell and can differ from measured ones.

Structural model:
```
Tb8Pm2Th3
1.0
11.746 0.000 0.000
0.000 21.066 0.000
0.000 0.000 3.489
Tb Pm Th
16 4 6
Direct
0.041 0.073 0.000
0.060 0.342 0.500
0.132 0.786 0.000
0.211 0.949 0.500
0.289 0.449 0.500
0.368 0.286 0.000
0.440 0.842 0.500
0.459 0.573 0.000
0.541 0.427 0.000
0.560 0.158 0.500
0.632 0.714 0.000
0.711 0.551 0.500
0.789 0.051 0.500
0.868 0.214 0.000
0.940 0.658 0.500
0.959 0.927 0.000
0.177 0.599 0.000
0.323 0.099 0.000
0.677 0.901 0.000
0.823 0.401 0.000
0.000 0.500 0.500
0.139 0.201 0.500
0.361 0.701 0.500
0.500 0.000 0.500
0.639 0.299 0.500
0.861 0.799 0.500
```

Top 10 peaks for 10 to 90 degrees two-theta, in order of rising 2θ:
| 2θ/deg | Rel. int. |
| --- | --- |
| 27.00 | 20 |
| 30.09 | 67 |
| 30.68 | 70 |
| 31.18 | 60 |
| 31.67 | 100 |
| 33.06 | 22 |
| 34.70 | 53 |
| 36.30 | 31 |
| 52.46 | 21 |
| 62.00 | 25 |



Entry 2:
Theoretical powder diffractogram of K3PdO for CuKα, from the PBE geometry in Alexandria.
Peak positions follow from Bragg's law for the DFT cell and can differ from measured ones.

Structural model:
```
K3PdO
1.0
3.710 -7.107 0.000
3.710 7.107 0.000
0.000 0.000 6.101
K Pd O
6 2 2
Direct
0.108 0.892 0.500
0.112 0.437 0.469
0.437 0.112 0.969
0.563 0.888 0.469
0.888 0.563 0.969
0.892 0.108 0.000
0.362 0.638 0.947
0.638 0.362 0.447
0.244 0.756 0.756
0.756 0.244 0.256
```

Top 10 peaks for 10 to 90 degrees two-theta, in order of rising 2θ:
| 2θ/deg | Rel. int. |
| --- | --- |
| 12.46 | 21 |
| 13.46 | 15 |
| 19.17 | 18 |
| 19.85 | 23 |
| 22.26 | 18 |
| 25.06 | 28 |
| 29.28 | 28 |
| 30.89 | 100 |
| 38.91 | 22 |
| 52.94 | 18 |



Entry 3:
Theoretical powder diffractogram of La6ErCd2 for CuKα, from the PBE geometry in Alexandria.
Peak positions follow from Bragg's law for the DFT cell and can differ from measured ones.

Structural model:
```
La6ErCd2
1.0
6.601 -1.942 0.000
6.601 1.942 0.000
-3.907 0.000 11.696
La Er Cd
6 1 2
Direct
0.022 0.022 0.337
0.308 0.308 0.407
0.318 0.318 0.123
0.682 0.682 0.877
0.692 0.692 0.593
0.978 0.978 0.663
0.000 0.000 0.000
0.361 0.361 0.810
0.639 0.639 0.190
```

Top 10 peaks for 10 to 90 degrees two-theta, in order of rising 2θ:
| 2θ/deg | Rel. int. |
| --- | --- |
| 30.43 | 55 |
| 30.61 | 48 |
| 31.46 | 98 |
| 31.69 | 100 |
| 44.06 | 13 |
| 46.77 | 19 |
| 54.58 | 15 |
| 55.03 | 16 |
| 56.84 | 23 |
| 56.94 | 14 |



Entry 4:
Theoretical powder diffractogram of Li3Cu2S3O12 for CuKα, from the PBE geometry in Alexandria.
Peak positions follow from Bragg's law for the DFT cell and can differ from measured ones.

Structural model:
```
Li3Cu2S3O12
1.0
4.282 2.472 7.737
-4.282 2.472 7.737
0.000 -4.944 7.737
Li Cu S O
6 4 6 24
Direct
0.160 0.422 0.779
0.221 0.840 0.578
0.422 0.779 0.160
0.578 0.221 0.840
0.779 0.160 0.422
0.840 0.578 0.221
0.159 0.159 0.159
0.350 0.350 0.350
0.650 0.650 0.650
0.841 0.841 0.841
0.053 0.748 0.452
0.252 0.548 0.947
0.452 0.053 0.748
0.548 0.947 0.252
0.748 0.452 0.053
0.947 0.252 0.548
0.010 0.956 0.344
0.044 0.656 0.990
0.064 0.701 0.636
0.090 0.308 0.506
0.246 0.643 0.343
0.299 0.364 0.936
0.308 0.506 0.090
0.343 0.246 0.643
0.344 0.010 0.956
0.357 0.657 0.754
0.364 0.936 0.299
0.494 0.910 0.692
0.506 0.090 0.308
0.636 0.064 0.701
0.643 0.343 0.246
0.656 0.990 0.044
0.657 0.754 0.357
0.692 0.494 0.910
0.701 0.636 0.064
0.754 0.357 0.657
0.910 0.692 0.494
0.936 0.299 0.364
0.956 0.344 0.010
0.990 0.044 0.656
```

Top 10 peaks for 10 to 90 degrees two-theta, in order of rising 2θ:
| 2θ/deg | Rel. int. |
| --- | --- |
| 14.17 | 68 |
| 19.42 | 61 |
| 23.75 | 100 |
| 28.57 | 37 |
| 31.16 | 99 |
| 36.34 | 34 |
| 46.14 | 16 |
| 48.61 | 23 |
| 51.09 | 21 |
| 62.18 | 19 |



Entry 5:
Theoretical powder diffractogram of Tl4HgPb3 for CuKα, from the PBE geometry in Alexandria.
Peak positions follow from Bragg's law for the DFT cell and can differ from measured ones.

Structural model:
```
Tl4HgPb3
1.0
11.519 -1.803 0.000
11.519 1.803 0.000
-0.019 0.000 5.814
Tl Hg Pb
4 1 3
Direct
0.126 0.126 0.129
0.245 0.245 0.747
0.755 0.755 0.253
0.874 0.874 0.871
0.000 0.000 0.500
0.382 0.382 0.377
0.500 0.500 0.000
0.618 0.618 0.623
```

Top 10 peaks for 10 to 90 degrees two-theta, in order of rising 2θ:
| 2θ/deg | Rel. int. |
| --- | --- |
| 31.06 | 49 |
| 31.45 | 100 |
| 31.72 | 49 |
| 35.14 | 74 |
| 38.92 | 28 |
| 53.00 | 22 |
| 53.86 | 23 |
| 60.29 | 15 |
| 60.58 | 15 |
| 60.98 | 16 |



Entry 6:
Theoretical powder diffractogram of PmPr4Mg2 for CuKα, from the PBE geometry in Alexandria.
Peak positions follow from Bragg's law for the DFT cell and can differ from measured ones.

Structural model:
```
PmPr4Mg2
1.0
2.856 1.649 9.050
-2.856 1.649 9.050
0.000 -3.297 9.050
Pm Pr Mg
1 4 2
Direct
0.000 0.000 0.000
0.243 0.243 0.243
0.371 0.371 0.371
0.629 0.629 0.629
0.757 0.757 0.757
0.121 0.121 0.121
0.879 0.879 0.879
```

Top 10 peaks for 10 to 90 degrees two-theta, in order of rising 2θ:
| 2θ/deg | Rel. int. |
| --- | --- |
| 19.10 | 13 |
| 24.34 | 38 |
| 31.33 | 100 |
| 31.98 | 88 |
| 32.89 | 25 |
| 45.38 | 33 |
| 55.76 | 19 |
| 56.18 | 35 |
| 57.41 | 13 |
| 74.63 | 15 |



Entry 7:
Theoretical powder diffractogram of PrTlCd for CuKα, from the PBE geometry in Alexandria.
Peak positions follow from Bragg's law for the DFT cell and can differ from measured ones.

Structural model:
```
PrTlCd
1.0
5.759 -2.529 0.000
5.759 2.529 0.000
-4.896 0.000 5.723
Pr Tl Cd
2 2 2
Direct
0.014 0.014 0.264
0.986 0.986 0.736
0.330 0.330 0.307
0.670 0.670 0.693
0.339 0.339 0.867
0.661 0.661 0.133
```

Top 10 peaks for 10 to 90 degrees two-theta, in order of rising 2θ:
| 2θ/deg | Rel. int. |
| --- | --- |
| 23.62 | 11 |
| 31.27 | 55 |
| 31.38 | 60 |
| 35.51 | 100 |
| 48.00 | 18 |
| 48.15 | 17 |
| 61.09 | 15 |
| 61.22 | 16 |
| 61.29 | 11 |
| 63.77 | 18 |



Entry 8:
Theoretical powder diffractogram of Ce2Si3Ni for CuKα, from the PBE geometry in Alexandria.
Peak positions follow from Bragg's law for the DFT cell and can differ from measured ones.

Structural model:
```
Ce2Si3Ni
1.0
0.000 4.170 6.947
4.015 0.000 6.947
4.015 4.170 0.000
Ce Si Ni
4 6 2
Direct
0.247 0.753 0.247
0.250 0.250 0.250
0.750 0.750 0.750
0.753 0.247 0.753
0.170 0.170 0.830
0.171 0.659 0.829
0.341 0.829 0.659
0.659 0.171 0.341
0.829 0.341 0.171
0.830 0.830 0.170
0.333 0.333 0.667
0.667 0.667 0.333
```

Top 10 peaks for 10 to 90 degrees two-theta, in order of rising 2θ:
| 2θ/deg | Rel. int. |
| --- | --- |
| 21.31 | 6 |
| 25.63 | 32 |
| 33.57 | 100 |
| 43.40 | 12 |
| 45.19 | 32 |
| 51.08 | 10 |
| 57.45 | 21 |
| 64.44 | 21 |
| 73.35 | 10 |
| 75.95 | 18 |



Entry 9:
Theoretical powder diffractogram of Ac2Al5Ag12 for CuKα, from the PBE geometry in Alexandria.
Peak positions follow from Bragg's law for the DFT cell and can differ from measured ones.

Structural model:
```
Ac2Al5Ag12
1.0
4.826 2.786 4.721
-4.826 2.786 4.721
0.000 -5.572 4.721
Ac Al Ag
2 5 12
Direct
0.156 0.156 0.156
0.844 0.844 0.844
0.000 0.500 0.500
0.406 0.406 0.406
0.500 0.000 0.500
0.500 0.500 0.000
0.594 0.594 0.594
0.159 0.159 0.636
0.159 0.636 0.159
0.205 0.500 0.795
0.205 0.795 0.500
0.364 0.841 0.841
0.500 0.205 0.795
0.500 0.795 0.205
0.636 0.159 0.159
0.795 0.205 0.500
0.795 0.500 0.205
0.841 0.364 0.841
0.841 0.841 0.364
```

Top 10 peaks for 10 to 90 degrees two-theta, in order of rising 2θ:
| 2θ/deg | Rel. int. |
| --- | --- |
| 24.74 | 19 |
| 26.41 | 19 |
| 28.96 | 27 |
| 32.13 | 32 |
| 33.16 | 42 |
| 37.27 | 30 |
| 37.48 | 100 |
| 38.13 | 33 |
| 53.85 | 21 |
| 67.23 | 19 |